Record 1
Computed powder diffractogram
Compound: Li4Fe3Ni3Sn2O16
Radiation: a wavelength of 1.5418 Å
Structure: a cell relaxed with GGA+U
Kinematic intensities with the Lorentz-polarization factor, no thermal factor.

Structural model:
Cell lengths 5.861, 5.900, 9.633 Å; angles 90.35, 90.26, 119.65 degrees
Space group P1 (No. 1)
Unique sites:
1 Li 0.000 0.000 0.000
2 Li 0.003 0.988 0.501
3 Li 0.331 0.662 0.902
4 Li 0.665 0.306 0.404
5 Fe 0.174 0.825 0.222
6 Fe 0.341 0.154 0.721
7 Fe 0.835 0.647 0.720
8 Ni 0.169 0.330 0.221
9 Ni 0.662 0.819 0.221
10 Ni 0.832 0.155 0.722
11 Sn 0.341 0.637 0.497
12 Sn 0.670 0.336 0.999
13 O 0.010 0.979 0.814
14 O 0.033 0.493 0.342
15 O 0.165 0.821 0.610
16 O 0.173 0.297 0.609
17 O 0.319 0.162 0.109
18 O 0.335 0.644 0.118
19 O 0.466 0.474 0.339
20 O 0.493 0.945 0.348
21 O 0.503 0.028 0.849
22 O 0.516 0.476 0.834
23 O 0.659 0.326 0.615
24 O 0.689 0.809 0.605
25 O 0.837 0.684 0.106
26 O 0.855 0.171 0.105
27 O 0.967 0.493 0.845
28 O 0.999 0.005 0.312

Peak list (8 most intense, 2θ = 5–70°, sorted by position)
- d = 4.816 Å, intensity 30, (0 0 2)
- d = 4.507 Å, intensity 100, (1 -1 1)
- d = 4.491 Å, intensity 69, (-1 1 1)
- d = 3.492 Å, intensity 41, (0 1 2)
- d = 2.713 Å, intensity 43, (-1 1 3)
- d = 2.508 Å, intensity 57, (-1 2 2)
- d = 2.457 Å, intensity 33, (2 0 1)
- d = 1.993 Å, intensity 31, (-2 2 3)


Record 2
Computed powder diffractogram
Compound: Li3Fe5O12
Radiation: a wavelength of 1.5418 Å
Structure: a cell relaxed with GGA+U
Kinematic intensities with the Lorentz-polarization factor, no thermal factor.

Structural model:
Cell lengths 4.986, 5.349, 7.360 Å; angles 85.05, 89.94, 89.25 degrees
Space group P1 (No. 1)
Unique sites:
1 Li 0.000 0.000 0.000
2 Li 0.001 0.994 0.489
3 Li 0.504 0.505 0.991
4 Fe 0.006 0.409 0.707
5 Fe 0.499 0.923 0.194
6 Fe 0.501 0.543 0.505
7 Fe 0.513 0.945 0.713
8 Fe 0.995 0.416 0.200
9 O 0.124 0.407 0.951
10 O 0.177 0.094 0.250
11 O 0.212 0.707 0.620
12 O 0.319 0.243 0.609
13 O 0.327 0.586 0.272
14 O 0.375 0.897 0.953
15 O 0.622 0.876 0.444
16 O 0.676 0.584 0.739
17 O 0.695 0.208 0.124
18 O 0.800 0.709 0.121
19 O 0.835 0.396 0.448
20 O 0.852 0.087 0.750

Peak list (8 most intense, 2θ = 5–70°, sorted by position)
- d = 3.665 Å, intensity 100, (1 1 0)
- d = 3.617 Å, intensity 51, (1 -1 0)
- d = 2.672 Å, intensity 28, (1 1 2)
- d = 2.664 Å, intensity 26, (0 2 0)
- d = 2.654 Å, intensity 27, (-1 1 2)
- d = 2.518 Å, intensity 20, (1 1 -2)
- d = 1.833 Å, intensity 28, (0 0 4)
- d = 1.680 Å, intensity 40, (1 3 0)


Record 3
Computed powder diffractogram
Compound: Li21Fe4O16
Radiation: a wavelength of 1.5418 Å
Structure: a cell relaxed with GGA+U
Kinematic intensities with the Lorentz-polarization factor, no thermal factor.

Structural model:
Cell lengths 9.104, 9.475, 9.433 Å; angles 90.00, 90.35, 90.00 degrees
Space group C2 (No. 5)
Unique sites:
1 Li 0.000 0.000 0.000
2 Li 0.000 0.445 0.500
3 Li 0.000 0.992 0.500
4 Li 0.004 0.500 0.239
5 Li 0.205 0.727 0.246
6 Li 0.205 0.734 0.736
7 Li 0.212 0.231 0.010
8 Li 0.215 0.229 0.508
9 Li 0.222 0.479 0.027
10 Li 0.223 0.977 0.721
11 Li 0.224 0.981 0.222
12 Li 0.247 0.480 0.529
13 Fe 0.000 0.221 0.248
14 Fe 0.000 0.721 0.500
15 Fe 0.000 0.724 0.000
16 O 0.128 0.354 0.653
17 O 0.129 0.108 0.362
18 O 0.130 0.609 0.886
19 O 0.133 0.109 0.864
20 O 0.135 0.589 0.390
21 O 0.136 0.348 0.160
22 O 0.138 0.850 0.088
23 O 0.145 0.855 0.583

Peak list (8 most intense, 2θ = 5–70°, sorted by position)
- d = 4.737 Å, intensity 29, (0 2 0)
- d = 3.831 Å, intensity 100, (1 1 -2)
- d = 3.282 Å, intensity 23, (2 2 0)
- d = 2.700 Å, intensity 18, (2 2 -2)
- d = 2.689 Å, intensity 18, (2 2 2)
- d = 2.522 Å, intensity 19, (1 3 -2)
- d = 1.671 Å, intensity 18, (0 4 4)
- d = 1.642 Å, intensity 23, (4 4 0)


Record 4
Computed powder diffractogram
Compound: Li7Fe5O16
Radiation: a wavelength of 1.5418 Å
Structure: a cell relaxed with GGA+U
Kinematic intensities with the Lorentz-polarization factor, no thermal factor.

Structural model:
Cell lengths 5.739, 5.878, 9.423 Å; angles 92.23, 90.39, 118.70 degrees
Space group P1 (No. 1)
Unique sites:
1 Li 0.000 0.000 0.000
2 Li 0.001 0.016 0.521
3 Li 0.179 0.352 0.284
4 Li 0.336 0.666 0.595
5 Li 0.348 0.161 0.786
6 Li 0.683 0.343 0.099
7 Li 0.827 0.164 0.784
8 Fe 0.175 0.839 0.287
9 Fe 0.334 0.657 0.013
10 Fe 0.644 0.292 0.523
11 Fe 0.668 0.834 0.285
12 Fe 0.819 0.636 0.787
13 O 0.053 0.558 0.153
14 O 0.156 0.800 0.900
15 O 0.177 0.344 0.924
16 O 0.333 0.155 0.409
17 O 0.356 0.697 0.387
18 O 0.501 0.968 0.153
19 O 0.512 0.548 0.155
20 O 0.525 0.032 0.639
21 O 0.526 0.477 0.650
22 O 0.649 0.799 0.899
23 O 0.688 0.359 0.895
24 O 0.819 0.162 0.404
25 O 0.828 0.683 0.397
26 O 0.954 0.482 0.645
27 O 0.983 0.956 0.713
28 O 0.996 0.995 0.197

Peak list (8 most intense, 2θ = 5–70°, sorted by position)
- d = 5.150 Å, intensity 50, (0 1 0)
- d = 4.612 Å, intensity 100, (0 1 -1)
- d = 4.492 Å, intensity 37, (1 0 -1)
- d = 4.444 Å, intensity 39, (1 -1 1)
- d = 4.382 Å, intensity 27, (-1 1 1)
- d = 3.560 Å, intensity 28, (0 1 -2)
- d = 3.393 Å, intensity 46, (0 1 2)
- d = 2.456 Å, intensity 26, (-2 1 2)


Record 5
Computed powder diffractogram
Compound: Li5Fe5O12
Radiation: a wavelength of 1.5418 Å
Structure: a cell relaxed with GGA+U
Kinematic intensities with the Lorentz-polarization factor, no thermal factor.

Structural model:
Cell lengths 4.985, 5.025, 10.050 Å; angles 84.35, 87.09, 61.11 degrees
Space group P1 (No. 1)
Unique sites:
1 Li 0.000 0.000 0.000
2 Li 0.019 0.545 0.497
3 Li 0.326 0.296 0.232
4 Li 0.367 0.889 0.500
5 Li 0.674 0.646 0.001
6 Fe 0.014 0.695 0.760
7 Fe 0.346 0.032 0.762
8 Fe 0.663 0.619 0.260
9 Fe 0.680 0.362 0.753
10 Fe 0.993 0.959 0.263
11 O 0.051 0.026 0.653
12 O 0.314 0.641 0.367
13 O 0.330 0.707 0.869
14 O 0.331 0.932 0.155
15 O 0.337 0.380 0.659
16 O 0.683 0.005 0.861
17 O 0.692 0.898 0.365
18 O 0.696 0.703 0.650
19 O 0.703 0.303 0.155
20 O 0.956 0.690 0.153
21 O 0.982 0.270 0.360
22 O 0.985 0.359 0.866

Peak list (8 most intense, 2θ = 5–70°, sorted by position)
- d = 10.001 Å, intensity 12, (0 0 1)
- d = 5.000 Å, intensity 100, (0 0 2)
- d = 4.376 Å, intensity 7, (0 1 0)
- d = 2.491 Å, intensity 9, (-1 1 1)
- d = 2.371 Å, intensity 7, (1 2 -1)
- d = 2.102 Å, intensity 9, (1 2 3)
- d = 2.069 Å, intensity 8, (-1 1 3)
- d = 1.912 Å, intensity 8, (1 2 -3)


Record 6
Computed powder diffractogram
Compound: Li15Fe2O12
Radiation: a wavelength of 1.5418 Å
Structure: a cell relaxed with GGA+U
Kinematic intensities with the Lorentz-polarization factor, no thermal factor.

Structural model:
Cell lengths 5.319, 5.944, 8.178 Å; angles 85.97, 88.98, 89.07 degrees
Space group P1 (No. 1)
Unique sites:
1 Li 0.000 0.000 0.000
2 Li 0.010 0.311 0.721
3 Li 0.133 0.929 0.698
4 Li 0.214 0.634 0.026
5 Li 0.237 0.394 0.459
6 Li 0.311 0.252 0.139
7 Li 0.348 0.579 0.740
8 Li 0.370 0.918 0.451
9 Li 0.539 0.887 0.165
10 Li 0.638 0.480 0.223
11 Li 0.681 0.760 0.880
12 Li 0.701 0.145 0.544
13 Li 0.780 0.627 0.569
14 Li 0.861 0.414 0.977
15 Li 0.875 0.140 0.277
16 Fe 0.013 0.707 0.314
17 Fe 0.506 0.178 0.841
18 O 0.155 0.687 0.553
19 O 0.181 0.980 0.247
20 O 0.214 0.345 0.913
21 O 0.295 0.538 0.243
22 O 0.346 0.882 0.895
23 O 0.349 0.173 0.616
24 O 0.658 0.190 0.078
25 O 0.683 0.471 0.776
26 O 0.728 0.876 0.393
27 O 0.805 0.034 0.769
28 O 0.854 0.692 0.092
29 O 0.858 0.411 0.400

Peak list (8 most intense, 2θ = 5–70°, sorted by position)
- d = 4.964 Å, intensity 90, (0 1 1)
- d = 4.644 Å, intensity 74, (0 1 -1)
- d = 4.489 Å, intensity 62, (1 0 1)
- d = 4.421 Å, intensity 67, (1 0 -1)
- d = 4.078 Å, intensity 50, (0 0 2)
- d = 3.988 Å, intensity 48, (1 1 0)
- d = 3.929 Å, intensity 50, (1 -1 0)
- d = 2.436 Å, intensity 100, (1 0 3)


Record 7
Computed powder diffractogram
Compound: LiFe3O4
Radiation: a wavelength of 1.5418 Å
Structure: a cell relaxed with GGA+U
Kinematic intensities with the Lorentz-polarization factor, no thermal factor.

Structural model:
Cell lengths 3.044, 5.314, 5.324 Å; angles 109.46, 90.49, 90.55 degrees
Space group P-1 (No. 2)
Unique sites:
1 Li 0.000 0.000 0.000
2 Fe 0.000 0.500 0.500
3 Fe 0.500 0.000 0.500
4 Fe 0.500 0.500 0.000
5 O 0.020 0.742 0.266
6 O 0.492 0.273 0.265

Peak list (8 most intense, 2θ = 5–70°, sorted by position)
- d = 5.015 Å, intensity 100, (0 1 0)
- d = 4.342 Å, intensity 27, (0 1 -1)
- d = 2.507 Å, intensity 61, (0 2 0)
- d = 2.492 Å, intensity 59, (1 -1 1)
- d = 2.179 Å, intensity 86, (-1 1 1)
- d = 2.171 Å, intensity 85, (0 2 -2)
- d = 2.145 Å, intensity 82, (1 1 1)
- d = 1.538 Å, intensity 48, (1 1 -3)


Record 8
Computed powder diffractogram
Compound: Li2Fe3O10
Radiation: a wavelength of 1.5418 Å
Structure: a cell relaxed with GGA+U
Kinematic intensities with the Lorentz-polarization factor, no thermal factor.

Structural model:
Cell lengths 4.993, 5.113, 7.548 Å; angles 100.79, 100.52, 103.13 degrees
Space group P-1 (No. 2)
Unique sites:
1 Li 0.024 0.250 0.106
2 Fe 0.187 0.887 0.384
3 Fe 0.500 0.500 0.500
4 O 0.018 0.891 0.162
5 O 0.147 0.233 0.521
6 O 0.274 0.558 0.289
7 O 0.440 0.843 0.612
8 O 0.444 0.875 0.975

Peak list (8 most intense, 2θ = 5–70°, sorted by position)
- d = 7.206 Å, intensity 100, (0 0 1)
- d = 4.463 Å, intensity 20, (1 0 -1)
- d = 3.466 Å, intensity 12, (1 -1 1)
- d = 3.259 Å, intensity 20, (1 0 -2)
- d = 3.117 Å, intensity 11, (1 1 -1)
- d = 2.998 Å, intensity 13, (1 1 0)
- d = 2.228 Å, intensity 13, (-1 2 1)
- d = 2.052 Å, intensity 15, (1 -1 3)


Record 9
Computed powder diffractogram
Compound: Li11Fe4O12
Radiation: a wavelength of 1.5418 Å
Structure: a cell relaxed with GGA+U
Kinematic intensities with the Lorentz-polarization factor, no thermal factor.

Structural model:
Cell lengths 8.937, 3.490, 9.079 Å; angles 90.00, 90.52, 90.00 degrees
Space group Pm (No. 6)
Unique sites:
1 Li 0.000 0.000 0.000
2 Li 0.005 0.500 0.234
3 Li 0.212 0.000 0.325
4 Li 0.247 0.500 0.030
5 Li 0.413 0.000 0.528
6 Li 0.429 0.000 0.956
7 Li 0.498 0.500 0.758
8 Li 0.694 0.500 0.478
9 Li 0.738 0.000 0.733
10 Li 0.777 0.000 0.297
11 Li 0.924 0.500 0.814
12 Fe 0.208 0.000 0.749
13 Fe 0.474 0.500 0.250
14 Fe 0.709 0.500 0.025
15 Fe 0.983 0.000 0.524
16 O 0.189 0.000 0.541
17 O 0.208 0.000 0.950
18 O 0.273 0.500 0.238
19 O 0.414 0.000 0.742
20 O 0.483 0.500 0.446
21 O 0.493 0.500 0.037
22 O 0.689 0.500 0.237
23 O 0.706 0.500 0.822
24 O 0.779 0.000 0.521
25 O 0.916 0.500 0.033
26 O 0.989 0.000 0.736
27 O 0.992 0.000 0.323

Peak list (8 most intense, 2θ = 5–70°, sorted by position)
- d = 6.398 Å, intensity 28, (1 0 -1)
- d = 6.340 Å, intensity 26, (1 0 1)
- d = 4.028 Å, intensity 21, (2 0 -1)
- d = 3.254 Å, intensity 100, (0 1 1)
- d = 3.061 Å, intensity 29, (1 1 -1)
- d = 2.269 Å, intensity 20, (0 0 4)
- d = 2.234 Å, intensity 19, (4 0 0)
- d = 1.611 Å, intensity 15, (0 1 5)


Record 10
Computed powder diffractogram
Compound: Li5Fe5O12
Radiation: a wavelength of 1.5418 Å
Structure: a cell relaxed with GGA+U
Kinematic intensities with the Lorentz-polarization factor, no thermal factor.

Structural model:
Cell lengths 5.074, 8.616, 10.216 Å; angles 90.00, 100.34, 90.00 degrees
Space group C2 (No. 5)
Unique sites:
1 Li 0.000 0.000 0.000
2 Li 0.077 0.328 0.257
3 Li 0.083 0.670 0.254
4 Fe 0.000 0.156 0.500
5 Fe 0.000 0.333 0.000
6 Fe 0.000 0.490 0.500
7 Fe 0.000 0.667 0.000
8 Fe 0.000 0.826 0.500
9 O 0.091 0.498 0.894
10 O 0.145 0.184 0.895
11 O 0.150 0.816 0.895
12 O 0.179 0.666 0.608
13 O 0.186 0.321 0.607
14 O 0.209 0.988 0.601

Peak list (8 most intense, 2θ = 5–70°, sorted by position)
- d = 10.050 Å, intensity 12, (0 0 1)
- d = 5.025 Å, intensity 100, (0 0 2)
- d = 4.315 Å, intensity 12, (0 2 0)
- d = 2.468 Å, intensity 14, (1 3 -1)
- d = 2.367 Å, intensity 13, (1 3 1)
- d = 2.090 Å, intensity 24, (1 3 -3)
- d = 1.918 Å, intensity 17, (1 3 3)
- d = 1.637 Å, intensity 12, (1 3 -5)